The following is a computed X-ray powder pattern of Rb2FeI4. It was derived from a PBE-relaxed structure, using CuKα.
Lines closer than 0.1° are merged.

Structural model:
Lattice parameters (Å, degrees): 7.896 8.346 10.492 90.00 109.22 90.00
Element x y z (fractional)
Rb  0.201  0.000  0.040
Rb  0.289  0.999  0.582
Rb  0.711  0.499  0.418
Rb  0.799  0.500  0.960
Fe  0.204  0.505  0.789
Fe  0.796  0.005  0.211
I  0.010  0.753  0.269
I  0.015  0.252  0.275
I  0.372  0.510  0.052
I  0.416  0.508  0.642
I  0.584  0.008  0.358
I  0.628  0.010  0.948
I  0.985  0.752  0.725
I  0.990  0.253  0.731

Most intense lines, 2θ = 15–90°, low angle first:
d/Å  2theta  intensity  h k l
4.173  21.29  15  0 2 0
3.641  24.44  70  1 2 0
3.608  24.68  100  2 0 -2
3.404  26.18  15  2 1 0
3.311  26.93  51  2 1 -2
3.190  27.97  84  1 2 -2
2.780  32.20  29  2 2 0
2.623  34.19  28  1 0 -4
2.202  40.98  48  3 2 -2
2.128  42.48  18  2 2 -4
2.087  43.36  24  0 4 0
1.806  50.53  28  2 4 -2